Diffraction record for TmNpSc2P4. The powder XRD pattern is calculated, not measured: it uses the PBE geometry in Alexandria and CuKα.
Kinematic intensities with the Lorentz-polarization factor, no thermal factor.

Principal peaks in the range 2θ from 5° to 70°, in order of falling intensity:
two_theta  Rel. int.  (hkl)
32.9  100  1 1 1
14.1  59  1 0 0
28.4  51  0 0 2
47.2  48  0 2 0
27.1  43  0 1 1
47.3  24  3 1 -1
58.8  18  2 2 -2
28.4  17  2 0 0
49.5  17  2 1 -3
56.0  16  3 1 1

Unit cell a=6.655 b=3.851 c=6.680 alpha=90.00 beta=109.39 gamma=90.00
Space group P2/m (No. 10)
Unique sites:
Tm  0.000  0.000  0.000 (multiplicity 1)
Np  0.000  0.500  0.500 (multiplicity 1)
Sc  0.500  0.000  0.500 (multiplicity 1)
Sc  0.500  0.500  0.000 (multiplicity 1)
P  0.260  0.500  0.256 (multiplicity 2)
P  0.261  0.000  0.753 (multiplicity 2)